1.
Structure and theoretical powder diffraction line list of ThSi2 (DFT lattice parameters and positions (GGA-PBE); copper Kα).

Largest 6 diffraction maxima, low angle first, 10 to 80 degrees two-theta:
- hkl 1 0 1, d 3.966, 22.4°, intensity 59.6
- hkl 0 0 4, d 3.625, 24.6°, intensity 31.0
- hkl 1 0 3, d 3.137, 28.5°, intensity 57.5
- hkl 1 1 2, d 2.705, 33.1°, intensity 100.0
- hkl 1 0 5, d 2.372, 37.9°, intensity 40.6
- hkl 2 0 0, d 2.062, 43.9°, intensity 28.5

Crystal structure
Cell lengths 4.1233, 4.1233, 14.4993 Å; angles 90.00, 90.00, 90.00 degrees
Space group I4_1/amd (No. 141, origin choice 2)
Asymmetric unit:
Th 0.0000 0.2500 0.3750 x4
Si 0.0000 0.2500 0.7919 x8



2.
Structure and theoretical powder diffraction line list of CoCu2SiS4 (DFT lattice parameters and positions (GGA-PBE); copper Kα).

Largest 6 diffraction maxima, low angle first, 10 to 80 degrees two-theta:
- hkl 1 1 2, d 3.010, 29.7°, intensity 100.0
- hkl 2 0 4, d 1.845, 49.4°, intensity 40.5
- hkl 2 2 0, d 1.839, 49.6°, intensity 20.0
- hkl 1 1 6, d 1.577, 58.5°, intensity 12.7
- hkl 3 1 2, d 1.569, 58.8°, intensity 24.9
- hkl 4 0 0, d 1.300, 72.7°, intensity 5.9

Crystal structure
Cell lengths 5.2016, 5.2016, 10.4739 Å; angles 90.00, 90.00, 90.00 degrees
Space group I-42m (No. 121)
Asymmetric unit:
Co 0.0000 0.0000 0.0000 x2
Cu 0.0000 0.5000 0.2500 x4
Si 0.0000 0.0000 0.5000 x2
S 0.2410 0.2410 0.6202 x8



3.
Structure and theoretical powder diffraction line list of Li2SiSnCO7 (DFT lattice parameters and positions (GGA-PBE); copper Kα).

Largest 6 diffraction maxima, low angle first, 10 to 80 degrees two-theta:
- hkl 0 0 1, d 8.661, 10.2°, intensity 100.0
- hkl 0 1 1, d 5.233, 16.9°, intensity 66.7
- hkl 1 0 1, d 4.330, 20.5°, intensity 39.2
- hkl 1 1 0, d 4.033, 22.0°, intensity 46.7
- hkl 1 0 -2, d 3.367, 26.5°, intensity 35.6
- hkl 0 2 0, d 3.284, 27.2°, intensity 54.2

Crystal structure
Cell lengths 5.1136, 6.5681, 8.6675 Å; angles 90.00, 92.16, 90.00 degrees
Space group P2_1/m (No. 11)
Asymmetric unit:
Li 0.2203 0.0027 0.2830 x4
Si 0.2871 0.7500 0.9198 x2
Sn 0.2055 0.2500 0.8537 x2
C 0.2657 0.2500 0.5542 x2
O 0.0328 0.2500 0.6132 x2
O 0.1736 0.5538 0.8235 x4
O 0.1879 0.7500 0.0994 x2
O 0.3027 0.2500 0.4112 x2
O 0.3886 0.2500 0.0661 x2
O 0.4640 0.2500 0.6592 x2



4.
Structure and theoretical powder diffraction line list of Mo3Se4S2 (DFT lattice parameters and positions (GGA-PBE); copper Kα).

Largest 6 diffraction maxima, low angle first, 10 to 80 degrees two-theta:
- hkl 0 0 4, d 7.541, 11.7°, intensity 100.0
- hkl 1 0 0, d 2.840, 31.5°, intensity 28.4
- hkl 0 1 6, d 2.473, 36.3°, intensity 42.1
- hkl 1 0 7, d 2.371, 37.9°, intensity 52.6
- hkl 0 1 10, d 2.068, 43.8°, intensity 24.9
- hkl 1 0 11, d 1.973, 46.0°, intensity 41.3

Crystal structure
Cell lengths 3.2791, 3.2791, 30.1648 Å; angles 90.00, 90.00, 120.00 degrees
Space group P3m1 (No. 156)
Asymmetric unit:
Mo 0.0000 0.0000 0.0000 x1
Mo 0.0000 0.0000 0.4627 x1
Mo 0.3333 0.6667 0.2313 x1
Se 0.0000 0.0000 0.1754 x1
Se 0.0000 0.0000 0.2873 x1
Se 0.3333 0.6667 0.4067 x1
Se 0.3333 0.6667 0.5187 x1
S 0.3333 0.6667 0.0510 x1
S 0.3333 0.6667 0.9491 x1



5.
Structure and theoretical powder diffraction line list of Na3Au (DFT lattice parameters and positions (GGA-PBE); copper Kα).

Largest 6 diffraction maxima, low angle first, 10 to 80 degrees two-theta:
- hkl 1 0 1, d 4.250, 20.9°, intensity 100.0
- hkl 1 1 0, d 3.610, 24.7°, intensity 34.0
- hkl 1 1 2, d 2.629, 34.1°, intensity 74.7
- hkl 2 0 0, d 2.552, 35.2°, intensity 34.4
- hkl 2 1 1, d 2.188, 41.3°, intensity 36.6
- hkl 3 1 2, d 1.488, 62.4°, intensity 25.4

Crystal structure
Cell lengths 5.1047, 5.1047, 7.6708 Å; angles 90.00, 90.00, 90.00 degrees
Space group I4/mmm (No. 139)
Asymmetric unit:
Na 0.0000 0.0000 0.0000 x2
Na 0.0000 0.5000 0.2500 x4
Au 0.0000 0.0000 0.5000 x2



6.
Structure and theoretical powder diffraction line list of DyYCd2 (DFT lattice parameters and positions (GGA-PBE); copper Kα).

Largest 6 diffraction maxima, low angle first, 10 to 80 degrees two-theta:
- hkl 1 1 1, d 4.334, 20.5°, intensity 4.5
- hkl 2 2 0, d 2.654, 33.8°, intensity 100.0
- hkl 3 1 1, d 2.264, 39.8°, intensity 2.7
- hkl 4 0 0, d 1.877, 48.5°, intensity 17.7
- hkl 4 2 2, d 1.532, 60.4°, intensity 36.0
- hkl 4 4 0, d 1.327, 71.0°, intensity 11.0

Crystal structure
Cell lengths 7.5074, 7.5074, 7.5074 Å; angles 90.00, 90.00, 90.00 degrees
Space group Fm-3m (No. 225)
Asymmetric unit:
Dy 0.0000 0.0000 0.0000 x4
Y 0.0000 0.0000 0.5000 x4
Cd 0.2500 0.2500 0.2500 x8